Entry 1:
# Sr2IrPtN2
Computed X-ray diffraction stick pattern, Cu Kα, 1.54184 Å. Input: a PBE-relaxed structure.
Kinematic intensities with the Lorentz-polarization factor, no thermal factor.

Crystal structure
Cell lengths 3.784, 3.848, 7.707 Å; angles 90.00, 90.00, 90.00 degrees
Space group Pmmm (No. 47)
Asymmetric unit:
Sr 0.000 0.000 0.248
Ir 0.500 0.500 0.000
Pt 0.500 0.500 0.500
N 0.000 0.500 0.000
N 0.500 0.000 0.500

Principal peaks in the range 10 to 90 degrees two-theta, in order of rising 2θ:
2θ/deg	I_rel	hkl
23.10	19.9	0 0 2
32.90	53.8	0 1 2
33.20	100.0	1 0 2
47.21	21.4	0 2 0
58.93	39.4	1 2 2
59.50	19.9	2 1 2

Entry 2:
# Sr2ZnIn
Computed X-ray diffraction stick pattern, Cu Kα, 1.54184 Å. Input: a PBE-relaxed structure.
Kinematic intensities with the Lorentz-polarization factor, no thermal factor.

Crystal structure
Cell lengths 7.850, 7.850, 7.850 Å; angles 90.00, 90.00, 90.00 degrees
Space group F-43m (No. 216)
Asymmetric unit:
Sr 0.000 0.000 0.000
Sr 0.250 0.250 0.250
Zn 0.250 0.250 0.750
In 0.000 0.000 0.500

Principal peaks in the range 10 to 90 degrees two-theta, in order of rising 2θ:
2θ/deg	I_rel	hkl
32.25	100.0	2 2 0
46.26	18.0	4 0 0
57.51	36.9	4 2 2
67.49	11.3	4 4 0
76.79	15.6	6 2 0
85.74	4.0	4 4 4

Entry 3:
# CsRbAgP
Computed X-ray diffraction stick pattern, Cu Kα, 1.54184 Å. Input: a PBE-relaxed structure.
Kinematic intensities with the Lorentz-polarization factor, no thermal factor.

Crystal structure
Cell lengths 6.645, 6.317, 6.721 Å; angles 90.00, 106.33, 90.00 degrees
Space group P2_1/m (No. 11)
Asymmetric unit:
Cs 0.035 0.250 0.189
Rb 0.312 0.750 0.472
Ag 0.500 0.000 0.000
P 0.273 0.250 0.753

Principal peaks in the range 10 to 90 degrees two-theta, in order of rising 2θ:
2θ/deg	I_rel	hkl
26.34	100.0	1 1 1
27.25	55.2	1 0 -2
27.50	67.1	2 0 -1
30.77	58.0	1 1 -2
30.99	48.9	2 1 -1
31.59	82.5	1 2 0

Entry 4:
# ErH2
Computed X-ray diffraction stick pattern, Cu Kα, 1.54184 Å. Input: a PBE-relaxed structure.
Kinematic intensities with the Lorentz-polarization factor, no thermal factor.

Crystal structure
Cell lengths 5.088, 5.088, 5.088 Å; angles 90.00, 90.00, 90.00 degrees
Space group Fm-3m (No. 225)
Asymmetric unit:
Er 0.000 0.000 0.000
H 0.250 0.250 0.250

Principal peaks in the range 10 to 90 degrees two-theta, in order of rising 2θ:
2θ/deg	I_rel	hkl
30.43	100.0	1 1 1
35.28	49.0	2 0 0
50.75	37.3	2 2 0
60.33	43.4	3 1 1
82.66	18.0	3 3 1
85.31	16.6	4 2 0

Entry 5:
# Cs2Li2Te4Mo
Computed X-ray diffraction stick pattern, Cu Kα, 1.54184 Å. Input: a PBE-relaxed structure.
Kinematic intensities with the Lorentz-polarization factor, no thermal factor.

Crystal structure
Cell lengths 6.706, 14.957, 6.681 Å; angles 90.00, 90.00, 90.00 degrees
Space group C222 (No. 21)
Asymmetric unit:
Cs 0.250 0.250 0.241
Li 0.000 0.000 0.000
Li 0.000 0.500 0.500
Te 0.231 0.099 0.730
Mo 0.000 0.000 0.500

Principal peaks in the range 10 to 90 degrees two-theta, in order of rising 2θ:
2θ/deg	I_rel	hkl
25.96	100.0	1 3 1
26.58	17.6	2 0 0
38.02	23.5	2 0 2
45.36	23.7	2 6 0
46.56	20.6	3 3 1
46.68	18.3	1 3 3

Entry 6:
# Ta13Ni2
Computed X-ray diffraction stick pattern, Cu Kα, 1.54184 Å. Input: a PBE-relaxed structure.
Kinematic intensities with the Lorentz-polarization factor, no thermal factor.

Crystal structure
Cell lengths 10.035, 10.035, 5.330 Å; angles 90.00, 90.00, 90.00 degrees
Space group P4_2/mnm (No. 136)
Asymmetric unit:
Ta 0.000 0.000 0.000
Ta 0.037 0.359 0.500
Ta 0.064 0.268 0.000
Ta 0.181 0.819 0.251
Ni 0.101 0.101 0.500

Principal peaks in the range 10 to 90 degrees two-theta, in order of rising 2θ:
2θ/deg	I_rel	hkl
36.93	100.0	4 1 0
38.04	50.7	3 3 0
38.24	33.8	2 0 2
39.32	63.7	2 1 2
40.76	85.0	4 1 1
41.78	35.4	3 3 1

Entry 7:
# DyI3O9
Computed X-ray diffraction stick pattern, Cu Kα, 1.54184 Å. Input: a PBE-relaxed structure.
Kinematic intensities with the Lorentz-polarization factor, no thermal factor.

Crystal structure
Cell lengths 8.634, 5.829, 16.200 Å; angles 90.00, 114.93, 90.00 degrees
Space group P2_1/c (No. 14)
Asymmetric unit:
Dy 0.141 0.226 0.101
I 0.076 0.186 0.350
I 0.361 0.652 0.524
I 0.418 0.598 0.798
O 0.061 0.065 0.701
O 0.101 0.605 0.674
O 0.104 0.096 0.464
O 0.129 0.605 0.490
O 0.340 0.592 0.888
O 0.344 0.193 0.258
O 0.356 0.083 0.943
O 0.360 0.503 0.134
O 0.401 0.033 0.124

Principal peaks in the range 10 to 90 degrees two-theta, in order of rising 2θ:
2θ/deg	I_rel	hkl
23.73	33.6	0 1 3
26.83	100.0	1 1 -4
27.45	82.7	2 1 0
30.95	33.4	1 0 4
32.45	20.6	1 2 -1
32.66	24.6	3 0 -4